No. 1
For Sr2AgP, a cell relaxed with PBE gives the computed powder X-ray diffraction pattern in this record (Cu Kα).

Main lines, in order of rising 2θ (10° ≤ 2θ ≤ 90°):
hkl 1 1 1, 3.023 Å, I 100.0; hkl 0 1 3, 2.894 Å, I 41.3; hkl 1 0 4, 2.446 Å, I 24.3; hkl 1 1 3, 2.436 Å, I 65.7; hkl 2 0 0, 2.257 Å, I 25.2; hkl 1 0 6, 1.783 Å, I 23.1

abc: 4.5134 4.3459 11.6388
angles: 90.00 90.00 90.00
Space group Amm2 (No. 38)
Inequivalent atoms, fractional coordinates:
Sr (0.0000, 0.0000, 0.0000) (multiplicity 2)
Sr (0.5000, 0.0000, 0.2765) (multiplicity 2)
Ag (0.0000, 0.0000, 0.7053) (multiplicity 2)
P (0.5000, 0.0000, 0.5575) (multiplicity 2)


No. 2
For Ag8Te6P, a cell relaxed with PBE gives the computed powder X-ray diffraction pattern in this record (Cu Kα).

Main lines, in order of rising 2θ (10° ≤ 2θ ≤ 90°):
hkl 2 0 2, 3.387 Å, I 100.0; hkl 0 2 2, 3.361 Å, I 54.6; hkl 1 0 5, 2.273 Å, I 53.5; hkl 0 3 3, 2.241 Å, I 47.3; hkl 2 3 1, 2.233 Å, I 50.3; hkl 2 2 4, 2.072 Å, I 70.2

abc: 8.2618 8.1698 11.8279
angles: 90.00 90.00 90.00
Space group Pmn2_1 (No. 31)
Inequivalent atoms, fractional coordinates:
Ag (0.0000, 0.0844, 0.0000) (multiplicity 2)
Ag (0.0000, 0.2232, 0.4093) (multiplicity 2)
Ag (0.1852, 0.6470, 0.1193) (multiplicity 4)
Ag (0.1971, 0.6060, 0.7831) (multiplicity 4)
Ag (0.2025, 0.0231, 0.2053) (multiplicity 4)
Te (0.0000, 0.3052, 0.1804) (multiplicity 2)
Te (0.0000, 0.4988, 0.5699) (multiplicity 2)
Te (0.0000, 0.7613, 0.9419) (multiplicity 2)
Te (0.0000, 0.9825, 0.5745) (multiplicity 2)
Te (0.2144, 0.2504, 0.8371) (multiplicity 4)
P (0.0000, 0.7444, 0.4397) (multiplicity 2)